# 1
Diffraction record for Rb2CrI6N. The XRD peak list is calculated, not measured: it uses a structure optimized by DFT (PBE) and Cu Kα, 1.54184 Å.
Intensities are scaled so that the largest is 100.

The 10 most intense peaks (10° ≤ 2θ ≤ 90°), most intense first:
Position (°2θ)	I (rel.)
27.29	100
33.24	42
44.07	30
28.10	28
55.85	24
47.72	14
56.30	14
49.23	12
44.48	8
70.99	7

Structure:
```
10
Lattice="-3.8114 3.8114 6.3511 3.8114 -3.8114 6.3511 3.8114 3.8114 -6.3511" Properties=species:S:1:pos:R:3 pbc="T T T"
Rb 3.8114 0.0000 3.1756
Rb 0.0000 3.8114 3.1756
Cr 0.0000 0.0000 0.0000
I 0.0000 0.0000 2.7200
I 2.0290 2.0290 0.0000
I 1.7824 -1.7824 6.3511
I -1.7824 1.7824 6.3511
I 1.7824 1.7824 6.3511
I 0.0000 0.0000 9.9823
N 0.0000 0.0000 6.3511
```

=====

# 2
Diffraction record for Na2CrI5. The XRD peak list is calculated, not measured: it uses a structure optimized by DFT (PBE) and Cu Kα, 1.54184 Å.
Intensities are scaled so that the largest is 100.

The 10 most intense peaks (10° ≤ 2θ ≤ 90°), most intense first:
Position (°2θ)	I (rel.)
30.20	100
24.55	76
42.95	75
29.81	73
23.09	65
17.08	45
34.18	32
15.91	28
11.74	27
39.51	22

Structure:
```
16
Lattice="2.9970 -7.5385 0.0000 2.9970 7.5385 0.0000 0.0000 0.0000 14.3352" Properties=species:S:1:pos:R:3 pbc="T T T"
Na 2.9970 5.0290 8.1243
Na 2.9970 5.0290 13.3786
Na 2.9970 -5.0290 0.9567
Na 2.9970 -5.0290 6.2109
Cr 2.9970 4.7919 3.5838
Cr 2.9970 -4.7919 10.7514
I 2.9970 6.7047 1.7099
I 2.9970 6.7047 5.4577
I 2.9970 3.0247 10.7514
I 2.9970 2.8343 1.6183
I 2.9970 2.8343 5.5493
I 2.9970 -2.8343 8.7860
I 2.9970 -2.8343 12.7169
I 2.9970 -3.0247 3.5838
I 2.9970 -6.7047 8.8775
I 2.9970 -6.7047 12.6254
```

=====

# 3
Diffraction record for Na2CrI. The XRD peak list is calculated, not measured: it uses a structure optimized by DFT (PBE) and Cu Kα, 1.54184 Å.
Intensities are scaled so that the largest is 100.

The 10 most intense peaks (10° ≤ 2θ ≤ 90°), most intense first:
Position (°2θ)	I (rel.)
31.80	100
22.34	40
56.66	36
19.32	22
45.60	18
51.34	16
75.56	14
37.48	12
39.21	12
66.46	11

Structure:
```
4
Lattice="0.0000 3.9791 3.9791 3.9791 0.0000 3.9791 3.9791 3.9791 0.0000" Properties=species:S:1:pos:R:3 pbc="T T T"
Na 1.9896 1.9896 1.9896
Na 5.9687 5.9687 5.9687
Cr 0.0000 0.0000 0.0000
I 3.9791 3.9791 3.9791
```

=====

# 4
Diffraction record for RbNaCr2I8. The XRD peak list is calculated, not measured: it uses a structure optimized by DFT (PBE) and Cu Kα, 1.54184 Å.
Intensities are scaled so that the largest is 100.

The 10 most intense peaks (10° ≤ 2θ ≤ 90°), most intense first:
Position (°2θ)	I (rel.)
25.02	100
41.43	47
28.97	44
49.01	43
66.03	13
75.52	11
81.02	9
51.31	9
60.03	7
67.96	7

Structure:
```
12
Lattice="3.7781 2.1813 10.6603 -3.7781 2.1813 10.6603 0.0000 -4.3626 10.6603" Properties=species:S:1:pos:R:3 pbc="T T T"
Rb 0.0000 0.0000 0.0000
Na 0.0000 0.0000 15.9904
Cr 0.0000 0.0000 7.9826
Cr 0.0000 0.0000 23.9983
I -2.6131 0.0414 13.9863
I -1.3424 -2.2423 17.9946
I 0.0000 0.0000 10.5412
I 1.2707 -2.2837 13.9863
I -1.2707 2.2837 17.9946
I 0.0000 0.0000 21.4397
I 1.3424 2.2423 13.9863
I 2.6131 -0.0414 17.9946
```